For Ta2WO8, a GGA+U-relaxed structure gives the simulated powder X-ray diffraction pattern in this record (Cu Kα).
Intensities are scaled so that the largest is 100.

Cell and atoms:
Unit cell a=19.995 b=6.136 c=5.172 alpha=90.00 beta=91.66 gamma=90.00
Space group C2/c (No. 15)
Symmetry-distinct sites (fractional):
Ta1 0.133 0.177 0.245 x8
W1 0.000 0.345 0.750 x4
O1 0.052 0.386 0.431 x8
O2 0.058 0.158 0.921 x8
O3 0.163 0.079 0.576 x8
O4 0.185 0.388 0.146 x8

Peak list (10 most intense, 10° ≤ 2θ ≤ 90°, low angle first)
2θ = 19.67°, d = 4.513 Å, intensity 63, (3 1 0)
2θ = 25.95°, d = 3.434 Å, intensity 100, (3 1 -1)
2θ = 26.47°, d = 3.367 Å, intensity 90, (3 1 1)
2θ = 26.76°, d = 3.331 Å, intensity 26, (6 0 0)
2θ = 31.47°, d = 2.843 Å, intensity 31, (5 1 -1)
2θ = 32.20°, d = 2.780 Å, intensity 28, (5 1 1)
2θ = 33.98°, d = 2.638 Å, intensity 41, (0 2 1)
2θ = 34.70°, d = 2.585 Å, intensity 32, (0 0 2)
2θ = 49.91°, d = 1.827 Å, intensity 24, (8 2 -1)
2θ = 50.06°, d = 1.822 Å, intensity 26, (8 0 -2)

For Ta2W2O11, a GGA+U-relaxed structure gives the simulated powder X-ray diffraction pattern in this record (Cu Kα).
Intensities are scaled so that the largest is 100.

Cell and atoms:
Unit cell a=12.737 b=7.313 c=13.935 alpha=90.00 beta=113.56 gamma=90.00
Space group C2 (No. 5)
Symmetry-distinct sites (fractional):
Ta1 0.235 0.000 0.272 x4
Ta2 0.240 0.310 0.960 x4
W1 0.000 0.063 0.000 x2
W2 0.000 0.550 0.500 x2
W3 0.244 0.290 0.487 x4
O1 0.093 0.361 0.471 x4
O2 0.095 0.239 0.971 x4
O3 0.096 0.730 0.476 x4
O4 0.098 0.871 0.984 x4
O5 0.102 0.061 0.150 x4
O6 0.103 0.554 0.646 x4
O7 0.204 0.834 0.354 x4
O8 0.208 0.220 0.349 x4
O9 0.210 0.350 0.819 x4
O10 0.220 0.553 0.009 x4
O11 0.221 0.040 0.524 x4

Peak list (10 most intense, 10° ≤ 2θ ≤ 90°, low angle first)
2θ = 13.87°, d = 6.386 Å, intensity 57, (0 0 2)
2θ = 14.50°, d = 6.108 Å, intensity 100, (1 1 -1)
2θ = 15.18°, d = 5.838 Å, intensity 41, (2 0 0)
2θ = 27.94°, d = 3.193 Å, intensity 24, (0 0 4)
2θ = 28.10°, d = 3.175 Å, intensity 22, (4 0 -2)
2θ = 28.81°, d = 3.099 Å, intensity 19, (2 2 0)
2θ = 29.23°, d = 3.055 Å, intensity 62, (2 2 -2)
2θ = 30.63°, d = 2.919 Å, intensity 22, (4 0 0)
2θ = 34.75°, d = 2.581 Å, intensity 19, (2 2 2)
2θ = 49.87°, d = 1.828 Å, intensity 17, (6 2 -2)

For TbVO3, a GGA+U-relaxed structure gives the simulated powder X-ray diffraction pattern in this record (Cu Kα).
Intensities are scaled so that the largest is 100.

Cell and atoms:
Unit cell a=5.751 b=7.664 c=5.351 alpha=90.00 beta=90.00 gamma=90.00
Space group Pnma (No. 62)
Symmetry-distinct sites (fractional):
Tb1 0.069 0.250 0.020 x4
V1 0.000 0.000 0.500 x4
O1 0.045 0.750 0.384 x4
O2 0.190 0.558 0.804 x8

Peak list (10 most intense, 10° ≤ 2θ ≤ 90°, low angle first)
2θ = 22.70°, d = 3.917 Å, intensity 26, (1 0 1)
2θ = 23.21°, d = 3.832 Å, intensity 18, (0 2 0)
2θ = 25.54°, d = 3.488 Å, intensity 26, (1 1 1)
2θ = 31.10°, d = 2.875 Å, intensity 18, (2 0 0)
2θ = 32.69°, d = 2.739 Å, intensity 100, (1 2 1)
2θ = 33.49°, d = 2.676 Å, intensity 24, (0 0 2)
2θ = 46.36°, d = 1.959 Å, intensity 17, (2 0 2)
2θ = 47.94°, d = 1.898 Å, intensity 16, (2 1 2)
2θ = 52.06°, d = 1.757 Å, intensity 24, (3 1 1)
2θ = 59.35°, d = 1.557 Å, intensity 34, (0 4 2)

For TbVO3, a GGA+U-relaxed structure gives the simulated powder X-ray diffraction pattern in this record (Cu Kα).
Intensities are scaled so that the largest is 100.

Cell and atoms:
Unit cell a=3.843 b=3.843 c=3.843 alpha=90.00 beta=90.00 gamma=90.00
Space group Pm-3m (No. 221)
Symmetry-distinct sites (fractional):
Tb1 0.000 0.000 0.000 x1
V1 0.500 0.500 0.500 x1
O1 0.000 0.500 0.500 x3

Peak list (10 most intense, 10° ≤ 2θ ≤ 90°, low angle first)
2θ = 23.14°, d = 3.843 Å, intensity 26, (1 0 0)
2θ = 32.96°, d = 2.717 Å, intensity 100, (1 1 0)
2θ = 40.66°, d = 2.219 Å, intensity 25, (1 1 1)
2θ = 47.31°, d = 1.921 Å, intensity 31, (2 0 0)
2θ = 53.30°, d = 1.719 Å, intensity 13, (2 1 0)
2θ = 58.86°, d = 1.569 Å, intensity 38, (2 1 1)
2θ = 69.14°, d = 1.359 Å, intensity 19, (2 2 0)
2θ = 74.00°, d = 1.281 Å, intensity 7, (3 0 0)
2θ = 78.75°, d = 1.215 Å, intensity 16, (3 1 0)
2θ = 83.42°, d = 1.159 Å, intensity 8, (3 1 1)

For Tb2W3O12, a GGA+U-relaxed structure gives the simulated powder X-ray diffraction pattern in this record (Cu Kα).
Intensities are scaled so that the largest is 100.

Cell and atoms:
Unit cell a=7.785 b=11.536 c=11.449 alpha=90.00 beta=109.70 gamma=90.00
Space group C2/c (No. 15)
Symmetry-distinct sites (fractional):
Tb1 0.165 0.124 0.094 x8
W1 0.000 0.132 0.750 x4
W2 0.148 0.393 0.548 x8
O1 0.051 0.282 0.437 x8
O2 0.067 0.461 0.925 x8
O3 0.129 0.210 0.893 x8
O4 0.131 0.052 0.464 x8
O5 0.171 0.039 0.722 x8
O6 0.227 0.321 0.699 x8

Peak list (10 most intense, 10° ≤ 2θ ≤ 90°, low angle first)
2θ = 16.45°, d = 5.389 Å, intensity 16, (0 0 2)
2θ = 18.49°, d = 4.800 Å, intensity 20, (1 1 -2)
2θ = 24.84°, d = 3.585 Å, intensity 29, (1 1 -3)
2θ = 27.65°, d = 3.226 Å, intensity 100, (2 2 -1)
2θ = 29.29°, d = 3.050 Å, intensity 70, (0 2 3)
2θ = 31.01°, d = 2.884 Å, intensity 28, (0 4 0)
2θ = 33.90°, d = 2.644 Å, intensity 16, (2 0 2)
2θ = 34.01°, d = 2.636 Å, intensity 16, (2 0 -4)
2θ = 46.60°, d = 1.949 Å, intensity 22, (2 4 2)
2θ = 46.68°, d = 1.946 Å, intensity 36, (4 0 -2)